LiBi4B3O11: simulated X-ray powder pattern (Cu Kα X-rays), based on a crystal structure in the Materials Project, relaxed with PBE.

Crystal structure
```
data_LiBi4B3O11
_chemical_formula_sum 'Li4 Bi16 B12 O44'
_cell_length_a 9.332
_cell_length_b 9.145
_cell_length_c 12.403
_cell_angle_alpha 90.00
_cell_angle_beta 99.70
_cell_angle_gamma 90.00
_space_group_name_H-M_alt 'C 1 2/c 1'
_space_group_IT_number 15
_space_group_name_Hall '-C 2yc'
loop_
_atom_site_label
_atom_site_type_symbol
_atom_site_fract_x
_atom_site_fract_y
_atom_site_fract_z
_atom_site_occupancy
Li1 Li 0.000 0.112 0.250 1
Bi1 Bi 0.113 0.287 0.579 1
Bi2 Bi 0.240 0.160 0.832 1
B1 B 0.000 0.468 0.750 1
B2 B 0.156 0.017 0.074 1
O1 O 0.000 0.313 0.750 1
O2 O 0.053 0.466 0.165 1
O3 O 0.092 0.045 0.656 1
O4 O 0.155 0.165 0.052 1
O5 O 0.201 0.208 0.295 1
O6 O 0.214 0.082 0.506 1
```

Principal peaks in the range 15 to 90 degrees two-theta, in order of rising 2θ:
hkl 1 1 1, 2θ = 16.2°, I 43; hkl 2 0 0, 2θ = 19.3°, I 36; hkl 0 2 0, 2θ = 19.4°, I 68; hkl 2 0 -2, 2θ = 22.1°, I 60; hkl 1 1 3, 2θ = 27.2°, I 100; hkl 2 2 1, 2θ = 29.3°, I 61; hkl 2 2 -2, 2θ = 29.6°, I 33; hkl 3 1 -1, 2θ = 30.4°, I 60; hkl 1 3 -2, 2θ = 33.6°, I 58; hkl 2 4 1, 2θ = 45.5°, I 41


Li5Bi2B4O12: simulated X-ray powder pattern (Cu Kα X-rays), based on a crystal structure in the Materials Project, relaxed with PBE.

Crystal structure
```
data_Li5Bi2B4O12
_chemical_formula_sum 'Li10 Bi4 B8 O24'
_cell_length_a 8.874
_cell_length_b 6.474
_cell_length_c 10.432
_cell_angle_alpha 90.00
_cell_angle_beta 117.01
_cell_angle_gamma 90.00
_space_group_name_H-M_alt 'P 1 c 1'
_space_group_IT_number 7
_space_group_name_Hall 'P -2yc'
loop_
_atom_site_label
_atom_site_type_symbol
_atom_site_fract_x
_atom_site_fract_y
_atom_site_fract_z
_atom_site_occupancy
Li1 Li 0.000 0.016 0.000 1
Li2 Li 0.109 0.317 0.187 1
Li3 Li 0.246 0.471 0.565 1
Li4 Li 0.574 0.016 0.472 1
Li5 Li 0.791 0.477 0.032 1
Bi1 Bi 0.215 0.218 0.817 1
Bi2 Bi 0.602 0.268 0.227 1
B1 B 0.346 0.073 0.629 1
B2 B 0.453 0.423 0.409 1
B3 B 0.868 0.094 0.204 1
B4 B 0.943 0.419 0.843 1
O1 O 0.018 0.045 0.201 1
O2 O 0.064 0.315 0.965 1
O3 O 0.196 0.184 0.577 1
O4 O 0.338 0.433 0.264 1
O5 O 0.399 0.027 0.039 1
O6 O 0.414 0.465 0.004 1
O7 O 0.441 0.049 0.775 1
O8 O 0.603 0.317 0.455 1
O9 O 0.743 0.197 0.086 1
O10 O 0.796 0.483 0.844 1
O11 O 0.831 0.055 0.316 1
O12 O 0.984 0.453 0.730 1
```

Principal peaks in the range 15 to 90 degrees two-theta, in order of rising 2θ:
hkl 1 1 -1, 2θ = 17.5°, I 100; hkl 0 0 2, 2θ = 19.1°, I 31; hkl 2 0 -2, 2θ = 21.9°, I 21; hkl 1 1 1, 2θ = 22.5°, I 63; hkl 1 1 -3, 2θ = 29.2°, I 19; hkl 2 1 1, 2θ = 31.5°, I 16; hkl 0 1 3, 2θ = 32.0°, I 15; hkl 0 2 2, 2θ = 33.8°, I 17; hkl 2 2 0, 2θ = 35.9°, I 20; hkl 3 1 -3, 2θ = 36.0°, I 20


LiBiB2O5: simulated X-ray powder pattern (Cu Kα X-rays), based on a crystal structure in the Materials Project, relaxed with PBE.

Crystal structure
```
data_LiBiB2O5
_chemical_formula_sum 'Li2 Bi2 B4 O10'
_cell_length_a 6.058
_cell_length_b 8.662
_cell_length_c 3.842
_cell_angle_alpha 90.00
_cell_angle_beta 96.74
_cell_angle_gamma 90.00
_space_group_name_H-M_alt 'C 1 2 1'
_space_group_IT_number 5
_space_group_name_Hall 'C 2y'
loop_
_atom_site_label
_atom_site_type_symbol
_atom_site_fract_x
_atom_site_fract_y
_atom_site_fract_z
_atom_site_occupancy
Li1 Li 0.000 0.000 0.000 1
Bi1 Bi 0.000 0.614 0.500 1
B1 B 0.183 0.294 0.871 1
O1 O 0.000 0.366 0.000 1
O2 O 0.200 0.872 0.352 1
O3 O 0.244 0.145 0.968 1
```

Principal peaks in the range 15 to 90 degrees two-theta, in order of rising 2θ:
hkl 1 1 0, 2θ = 18.0°, I 100; hkl 0 2 0, 2θ = 20.5°, I 29; hkl 0 0 1, 2θ = 23.3°, I 17; hkl 1 1 -1, 2θ = 28.1°, I 37; hkl 1 1 1, 2θ = 31.0°, I 38; hkl 0 2 1, 2θ = 31.2°, I 22; hkl 1 3 0, 2θ = 34.5°, I 25; hkl 2 2 0, 2θ = 36.4°, I 18; hkl 2 2 -1, 2θ = 41.6°, I 24; hkl 2 2 1, 2θ = 45.6°, I 15


LiBiB2O5: simulated X-ray powder pattern (Cu Kα X-rays), based on a crystal structure in the Materials Project, relaxed with PBE.

Crystal structure
```
data_LiBiB2O5
_chemical_formula_sum 'Li4 Bi4 B8 O20'
_cell_length_a 5.624
_cell_length_b 3.935
_cell_length_c 17.566
_cell_angle_alpha 90.00
_cell_angle_beta 98.05
_cell_angle_gamma 90.00
_space_group_name_H-M_alt 'P 1 21/c 1'
_space_group_IT_number 14
_space_group_name_Hall '-P 2ybc'
loop_
_atom_site_label
_atom_site_type_symbol
_atom_site_fract_x
_atom_site_fract_y
_atom_site_fract_z
_atom_site_occupancy
Li1 Li 0.104 0.243 0.212 1
Bi1 Bi 0.252 0.146 0.416 1
B1 B 0.287 0.543 0.593 1
B2 B 0.424 0.724 0.786 1
O1 O 0.065 0.045 0.109 1
O2 O 0.201 0.551 0.797 1
O3 O 0.333 0.737 0.035 1
O4 O 0.385 0.517 0.226 1
O5 O 0.496 0.597 0.367 1
```

Principal peaks in the range 15 to 90 degrees two-theta, in order of rising 2θ:
hkl 1 0 -2, 2θ = 17.7°, I 91; hkl 1 0 2, 2θ = 20.1°, I 82; hkl 1 0 -4, 2θ = 24.1°, I 46; hkl 0 1 2, 2θ = 24.8°, I 56; hkl 1 1 0, 2θ = 27.8°, I 92; hkl 0 1 4, 2θ = 30.7°, I 100; hkl 0 0 6, 2θ = 30.8°, I 51; hkl 2 0 0, 2θ = 32.1°, I 36; hkl 1 1 3, 2θ = 32.9°, I 31; hkl 1 1 -6, 2θ = 40.2°, I 32


LiBiB2O5: simulated X-ray powder pattern (Cu Kα X-rays), based on a crystal structure in the Materials Project, relaxed with PBE.

Crystal structure
```
data_LiBiB2O5
_chemical_formula_sum 'Li4 Bi4 B8 O20'
_cell_length_a 6.981
_cell_length_b 11.030
_cell_length_c 6.751
_cell_angle_alpha 90.00
_cell_angle_beta 108.15
_cell_angle_gamma 90.00
_space_group_name_H-M_alt 'P 1 21/c 1'
_space_group_IT_number 14
_space_group_name_Hall '-P 2ybc'
loop_
_atom_site_label
_atom_site_type_symbol
_atom_site_fract_x
_atom_site_fract_y
_atom_site_fract_z
_atom_site_occupancy
Li1 Li 0.192 0.006 0.132 1
Bi1 Bi 0.245 0.669 0.270 1
B1 B 0.097 0.107 0.688 1
B2 B 0.473 0.077 0.759 1
O1 O 0.059 0.681 0.922 1
O2 O 0.068 0.011 0.809 1
O3 O 0.287 0.133 0.675 1
O4 O 0.358 0.649 0.655 1
O5 O 0.496 0.046 0.239 1
```

Principal peaks in the range 15 to 90 degrees two-theta, in order of rising 2θ:
hkl 1 1 0, 2θ = 15.6°, I 100; hkl 1 1 -1, 2θ = 17.9°, I 31; hkl 0 2 1, 2θ = 21.2°, I 25; hkl 2 0 0, 2θ = 26.9°, I 14; hkl 0 0 2, 2θ = 27.8°, I 27; hkl 1 1 -2, 2θ = 28.1°, I 16; hkl 1 3 -1, 2θ = 29.1°, I 37; hkl 2 2 -1, 2θ = 30.8°, I 20; hkl 1 3 1, 2θ = 33.0°, I 17; hkl 1 1 2, 2θ = 35.6°, I 15


LiBiB2O5: simulated X-ray powder pattern (Cu Kα X-rays), based on a crystal structure in the Materials Project, relaxed with PBE.

Crystal structure
```
data_LiBiB2O5
_chemical_formula_sum 'Li8 Bi8 B16 O40'
_cell_length_a 10.808
_cell_length_b 10.845
_cell_length_c 10.574
_cell_angle_alpha 90.00
_cell_angle_beta 119.92
_cell_angle_gamma 90.00
_space_group_name_H-M_alt 'C 1 2/c 1'
_space_group_IT_number 15
_space_group_name_Hall '-C 2yc'
loop_
_atom_site_label
_atom_site_type_symbol
_atom_site_fract_x
_atom_site_fract_y
_atom_site_fract_z
_atom_site_occupancy
Li1 Li 0.000 0.109 0.250 1
Li2 Li 0.000 0.357 0.750 1
Bi1 Bi 0.177 0.066 0.643 1
B1 B 0.102 0.248 0.121 1
B2 B 0.196 0.410 0.013 1
O1 O 0.022 0.140 0.084 1
O2 O 0.100 0.319 0.008 1
O3 O 0.166 0.444 0.875 1
O4 O 0.178 0.278 0.266 1
O5 O 0.192 0.041 0.863 1
```

Principal peaks in the range 15 to 90 degrees two-theta, in order of rising 2θ:
hkl 0 2 0, 2θ = 16.3°, I 54; hkl 1 1 -2, 2θ = 18.7°, I 97; hkl 2 0 0, 2θ = 19.0°, I 100; hkl 2 0 -2, 2θ = 19.2°, I 80; hkl 2 2 -1, 2θ = 23.2°, I 99; hkl 1 1 2, 2θ = 26.9°, I 70; hkl 1 3 1, 2θ = 29.8°, I 87; hkl 3 3 -1, 2θ = 35.5°, I 32; hkl 3 1 -4, 2θ = 36.2°, I 38; hkl 2 4 -1, 2θ = 37.1°, I 41